Starting from a PBE-relaxed structure, the powder X-ray diffraction pattern of Y10Al3Os was calculated for CuKα.

Structure:
```
data_Y10Al3Os
_cell_length_a 9.5660
_cell_length_b 9.5660
_cell_length_c 9.6583
_cell_angle_alpha 90.00
_cell_angle_beta 90.00
_cell_angle_gamma 120.00
_symmetry_space_group_name_H-M 'P 63/m m c'
_symmetry_Int_Tables_number 194
_symmetry_space_group_name_Hall '-P 6c 2c'
loop_
_atom_site_label
_atom_site_fract_x
_atom_site_fract_y
_atom_site_fract_z
_atom_site_occupancy
Y1 0.0000 0.0000 0.0000 1
Y2 0.0784 0.5392 0.2500 1
Y3 0.2073 0.4145 0.5586 1
Al1 0.1119 0.2238 0.2500 1
Os1 0.3333 0.6667 0.7500 1
```

Top 10 peaks for 2θ from 10° to 90°, in order of rising 2θ:
14.08°, I = 39, (1 0 1)
21.30°, I = 23, (1 0 2)
30.00°, I = 35, (2 1 1)
33.76°, I = 38, (3 0 1)
34.13°, I = 100, (2 1 2)
35.31°, I = 44, (2 0 3)
37.60°, I = 27, (2 2 0)
40.17°, I = 20, (2 1 3)
57.83°, I = 19, (3 3 0)
58.93°, I = 20, (5 0 2)